Simulated powder diffractogram
Compound: RbSm2CuSe3S
Radiation: Cu Kα (weighted mean of Kα1 and Kα2)
Structure: a cell relaxed with PBE
Kinematic intensities with the Lorentz-polarization factor, no thermal factor.

Structural model:
a = 4.143 Å, b = 14.351 Å, c = 14.568 Å
α = 90.00°, β = 90.00°, γ = 90.00°
Space group Cmcm (No. 63)
Inequivalent atoms, fractional coordinates:
Rb  0.000  0.113  0.250
Sm  0.000  0.371  0.061
Cu  0.000  0.161  0.750
Se  0.000  0.261  0.611
Se  0.000  0.433  0.250
S  0.000  0.000  0.000

Largest 12 diffraction maxima, sorted by position, 10° ≤ 2θ ≤ 80°:
index, d (Å), Position (°2θ), I (rel.)
0 2 1, 6.437, 13.8, 53
0 2 3, 4.022, 22.1, 46
1 1 2, 3.493, 25.5, 30
1 3 1, 3.062, 29.2, 100
1 3 2, 2.877, 31.1, 99
0 2 5, 2.700, 33.2, 38
0 0 6, 2.428, 37.0, 31
1 1 5, 2.351, 38.3, 40
0 6 3, 2.146, 42.1, 35
1 5 3, 2.122, 42.6, 70
2 0 0, 2.072, 43.7, 50
2 0 6, 1.575, 58.6, 29